(1)
Starting from a cell relaxed with GGA-PBE, the powder diffractogram of Ac7AsP5 was calculated for copper Kα.
Peak positions follow from Bragg's law for the DFT cell and can differ from measured ones.

Largest 12 diffraction maxima, by angle, 2θ from 15° to 90°:
23.37°, I = 269; 24.64°, I = 341; 25.07°, I = 597; 26.82°, I = 1000; 27.11°, I = 277; 28.11°, I = 742; 29.15°, I = 612; 40.56°, I = 256; 40.84°, I = 582; 42.54°, I = 271; 48.79°, I = 318; 49.51°, I = 388

Atomic structure:
abc: 7.624 7.624 26.143
angles: 90.00 90.00 146.28
Element x y z (fractional)
Ac: 0.043 0.957 0.750
Ac: 0.137 0.863 0.035
Ac: 0.137 0.863 0.465
Ac: 0.318 0.682 0.675
Ac: 0.318 0.682 0.825
Ac: 0.413 0.587 0.105
Ac: 0.413 0.587 0.395
Ac: 0.587 0.413 0.605
Ac: 0.587 0.413 0.895
Ac: 0.682 0.318 0.175
Ac: 0.682 0.318 0.325
Ac: 0.863 0.137 0.535
Ac: 0.863 0.137 0.965
Ac: 0.957 0.043 0.250
As: 0.298 0.702 0.250
As: 0.702 0.298 0.750
P: 0.047 0.953 0.146
P: 0.047 0.953 0.354
P: 0.227 0.773 0.574
P: 0.227 0.773 0.926
P: 0.500 0.500 0.000
P: 0.500 0.500 0.500
P: 0.773 0.227 0.074
P: 0.773 0.227 0.426
P: 0.953 0.047 0.646
P: 0.953 0.047 0.854


(2)
Starting from a cell relaxed with GGA-PBE, the powder diffractogram of Zn2Fe2Ni7 was calculated for copper Kα.
Peak positions follow from Bragg's law for the DFT cell and can differ from measured ones.

Largest 10 diffraction maxima, by angle, 2θ from 15° to 90°:
43.52°, I = 514; 43.86°, I = 1000; 43.94°, I = 497; 50.87°, I = 316; 51.01°, I = 310; 51.17°, I = 309; 74.67°, I = 182; 74.96°, I = 89; 75.16°, I = 88; 75.37°, I = 176

Atomic structure:
abc: 4.414 5.640 5.654
angles: 107.43 97.55 105.15
Element x y z (fractional)
Zn: 0.091 0.355 0.312
Zn: 0.909 0.645 0.688
Fe: 0.364 0.449 0.785
Fe: 0.636 0.551 0.215
Ni: 0.000 0.000 0.500
Ni: 0.181 0.731 0.143
Ni: 0.282 0.092 0.957
Ni: 0.456 0.818 0.591
Ni: 0.544 0.182 0.409
Ni: 0.718 0.908 0.043
Ni: 0.819 0.269 0.857